No. 1
# KLi2O3
Simulated XRD peak list, Cu Kα X-rays. Input: a structure optimized by DFT (PBE).
Neutral-atom scattering factors, no anomalous dispersion.

Largest 10 diffraction maxima, low angle first, 2θ = 15–90°:
- 24.04 deg, I = 20.3
- 30.59 deg, I = 28.5
- 32.62 deg, I = 100.0
- 35.47 deg, I = 92.3
- 40.91 deg, I = 12.9
- 47.57 deg, I = 18.4
- 59.72 deg, I = 8.6
- 61.96 deg, I = 10.3
- 63.04 deg, I = 10.7
- 63.74 deg, I = 8.3

Crystal structure
Unit cell a=5.886 b=5.055 c=5.900 alpha=90.00 beta=112.61 gamma=90.00
Sites, in units of the cell vectors:
K 0.230 0.250 0.037
K 0.770 0.750 0.963
Li 0.202 0.505 0.517
Li 0.202 0.995 0.517
Li 0.798 0.005 0.483
Li 0.798 0.495 0.483
O 0.043 0.750 0.656
O 0.310 0.750 0.316
O 0.465 0.250 0.709
O 0.535 0.750 0.291
O 0.690 0.250 0.684
O 0.957 0.250 0.344



No. 2
# Tb4SiSb2
Simulated XRD peak list, Cu Kα X-rays. Input: a structure optimized by DFT (PBE).
Neutral-atom scattering factors, no anomalous dispersion.

Largest 10 diffraction maxima, low angle first, 2θ = 15–90°:
- 26.74 deg, I = 100.0
- 30.00 deg, I = 79.5
- 35.65 deg, I = 65.9
- 38.18 deg, I = 32.7
- 40.62 deg, I = 20.8
- 45.13 deg, I = 46.9
- 49.31 deg, I = 35.5
- 53.22 deg, I = 15.4
- 56.97 deg, I = 14.6
- 62.38 deg, I = 15.4

Crystal structure
Unit cell a=8.161 b=8.161 c=8.161 alpha=109.49 beta=109.37 gamma=109.56
Sites, in units of the cell vectors:
Tb 0.185 0.237 0.552
Tb 0.185 0.633 0.948
Tb 0.237 0.185 0.052
Tb 0.367 0.815 0.552
Tb 0.633 0.185 0.448
Tb 0.763 0.815 0.948
Tb 0.815 0.367 0.052
Tb 0.815 0.763 0.448
Si 0.124 0.874 0.250
Si 0.876 0.126 0.750
Sb 0.000 0.500 0.500
Sb 0.500 0.000 0.000
Sb 0.500 0.500 0.000
Sb 0.500 0.500 0.500



No. 3
# LaNi6P2
Simulated XRD peak list, Cu Kα X-rays. Input: a structure optimized by DFT (PBE).
Neutral-atom scattering factors, no anomalous dispersion.

Largest 10 diffraction maxima, low angle first, 2θ = 15–90°:
- 25.45 deg, I = 24.3
- 31.44 deg, I = 36.7
- 34.66 deg, I = 14.4
- 39.39 deg, I = 100.0
- 39.63 deg, I = 21.8
- 46.38 deg, I = 30.5
- 47.28 deg, I = 60.2
- 54.99 deg, I = 16.2
- 69.10 deg, I = 18.1
- 82.56 deg, I = 20.7

Crystal structure
Unit cell a=3.845 b=3.845 c=8.463 alpha=90.00 beta=90.00 gamma=90.00
Sites, in units of the cell vectors:
La 0.000 0.000 0.000
Ni 0.000 0.000 0.500
Ni 0.000 0.500 0.313
Ni 0.000 0.500 0.687
Ni 0.500 0.000 0.313
Ni 0.500 0.000 0.687
Ni 0.500 0.500 0.500
P 0.500 0.500 0.189
P 0.500 0.500 0.811



No. 4
# Rb2Pd3S4
Simulated XRD peak list, Cu Kα X-rays. Input: a structure optimized by DFT (PBE).
Neutral-atom scattering factors, no anomalous dispersion.

Largest 10 diffraction maxima, low angle first, 2θ = 15–90°:
- 21.13 deg, I = 47.8
- 25.49 deg, I = 100.0
- 32.70 deg, I = 80.5
- 33.52 deg, I = 39.3
- 34.97 deg, I = 88.4
- 35.33 deg, I = 42.7
- 38.70 deg, I = 33.6
- 42.37 deg, I = 31.2
- 52.37 deg, I = 60.3
- 59.41 deg, I = 29.5

Crystal structure
Unit cell a=8.654 b=7.515 c=6.225 alpha=77.45 beta=57.95 gamma=44.60
Sites, in units of the cell vectors:
Rb 0.158 0.158 0.842
Rb 0.842 0.842 0.158
Pd 0.000 0.000 0.500
Pd 0.500 0.500 0.000
Pd 0.500 0.500 0.500
S 0.219 0.556 0.444
S 0.444 0.781 0.219
S 0.556 0.219 0.781
S 0.781 0.444 0.556



No. 5
# GdErScPa
Simulated XRD peak list, Cu Kα X-rays. Input: a structure optimized by DFT (PBE).
Neutral-atom scattering factors, no anomalous dispersion.

Largest 10 diffraction maxima, low angle first, 2θ = 15–90°:
- 20.07 deg, I = 12.3
- 23.22 deg, I = 9.8
- 33.07 deg, I = 100.0
- 38.99 deg, I = 7.3
- 47.47 deg, I = 18.3
- 53.49 deg, I = 4.6
- 59.07 deg, I = 38.3
- 69.39 deg, I = 11.8
- 79.05 deg, I = 16.5
- 88.39 deg, I = 4.3

Crystal structure
Unit cell a=5.418 b=5.418 c=5.418 alpha=60.00 beta=60.00 gamma=60.00
Sites, in units of the cell vectors:
Gd 0.000 0.000 0.000
Er 0.750 0.750 0.750
Sc 0.250 0.250 0.250
Pa 0.500 0.500 0.500



No. 6
# NaTl2InPb
Simulated XRD peak list, Cu Kα X-rays. Input: a structure optimized by DFT (PBE).
Neutral-atom scattering factors, no anomalous dispersion.

Largest 10 diffraction maxima, low angle first, 2θ = 15–90°:
- 17.92 deg, I = 44.6
- 25.57 deg, I = 13.4
- 28.77 deg, I = 41.8
- 32.71 deg, I = 27.1
- 32.92 deg, I = 43.0
- 34.10 deg, I = 100.0
- 36.30 deg, I = 13.4
- 37.73 deg, I = 15.1
- 59.55 deg, I = 30.5
- 62.75 deg, I = 11.0

Crystal structure
Unit cell a=6.287 b=6.287 c=9.900 alpha=90.00 beta=90.00 gamma=128.72
Sites, in units of the cell vectors:
Na 0.182 0.818 0.750
Na 0.818 0.182 0.250
Tl 0.321 0.679 0.045
Tl 0.321 0.679 0.455
Tl 0.679 0.321 0.545
Tl 0.679 0.321 0.955
In 0.465 0.535 0.750
In 0.535 0.465 0.250
Pb 0.000 0.000 0.000
Pb 0.000 0.000 0.500



No. 7
# AcMnN2
Simulated XRD peak list, Cu Kα X-rays. Input: a structure optimized by DFT (PBE).
Neutral-atom scattering factors, no anomalous dispersion.

Largest 10 diffraction maxima, low angle first, 2θ = 15–90°:
- 22.63 deg, I = 89.1
- 31.62 deg, I = 98.9
- 32.81 deg, I = 100.0
- 39.23 deg, I = 37.6
- 46.21 deg, I = 42.9
- 51.24 deg, I = 30.3
- 52.84 deg, I = 23.5
- 56.31 deg, I = 16.0
- 57.07 deg, I = 36.1
- 59.30 deg, I = 18.7

Crystal structure
Unit cell a=5.659 b=5.659 c=6.575 alpha=90.00 beta=90.00 gamma=120.00
Sites, in units of the cell vectors:
Ac 0.000 0.651 0.167
Ac 0.349 0.349 0.500
Ac 0.651 0.000 0.833
Mn 0.000 0.579 0.667
Mn 0.421 0.421 0.000
Mn 0.579 0.000 0.333
N 0.152 0.451 0.862
N 0.299 0.848 0.529
N 0.451 0.152 0.138
N 0.549 0.701 0.195
N 0.701 0.549 0.805
N 0.848 0.299 0.471



No. 8
# Li13Hg2
Simulated XRD peak list, Cu Kα X-rays. Input: a structure optimized by DFT (PBE).
Neutral-atom scattering factors, no anomalous dispersion.

Largest 10 diffraction maxima, low angle first, 2θ = 15–90°:
- 15.08 deg, I = 67.4
- 23.10 deg, I = 90.8
- 24.21 deg, I = 57.8
- 27.70 deg, I = 100.0
- 33.71 deg, I = 26.3
- 35.99 deg, I = 29.9
- 38.21 deg, I = 29.2
- 38.55 deg, I = 28.0
- 41.26 deg, I = 34.0
- 43.53 deg, I = 30.4

Crystal structure
Unit cell a=7.368 b=7.368 c=7.368 alpha=63.02 beta=63.02 gamma=63.02
Sites, in units of the cell vectors:
Li 0.000 0.000 0.000
Li 0.138 0.138 0.526
Li 0.138 0.526 0.138
Li 0.306 0.306 0.690
Li 0.306 0.690 0.306
Li 0.310 0.694 0.694
Li 0.474 0.862 0.862
Li 0.526 0.138 0.138
Li 0.690 0.306 0.306
Li 0.694 0.310 0.694
Li 0.694 0.694 0.310
Li 0.862 0.474 0.862
Li 0.862 0.862 0.474
Hg 0.146 0.146 0.146
Hg 0.854 0.854 0.854



No. 9
# Li3TiS3
Simulated XRD peak list, Cu Kα X-rays. Input: a structure optimized by DFT (PBE).
Neutral-atom scattering factors, no anomalous dispersion.

Largest 10 diffraction maxima, low angle first, 2θ = 15–90°:
- 15.47 deg, I = 100.0
- 28.20 deg, I = 58.5
- 36.02 deg, I = 36.3
- 38.84 deg, I = 54.5
- 41.73 deg, I = 31.1
- 45.06 deg, I = 27.2
- 50.66 deg, I = 16.0
- 55.59 deg, I = 22.1
- 56.78 deg, I = 13.6
- 58.74 deg, I = 10.6

Crystal structure
Unit cell a=6.902 b=6.902 c=5.901 alpha=106.53 beta=106.53 gamma=112.33
Sites, in units of the cell vectors:
Li 0.047 0.953 0.750
Li 0.048 0.596 0.298
Li 0.404 0.952 0.202
Li 0.596 0.048 0.798
Li 0.952 0.404 0.702
Li 0.953 0.047 0.250
Ti 0.500 0.500 0.000
Ti 0.500 0.500 0.500
S 0.144 0.322 0.073
S 0.322 0.144 0.573
S 0.323 0.677 0.750
S 0.677 0.323 0.250
S 0.678 0.856 0.427
S 0.856 0.678 0.927



No. 10
# Cs2Pm2TiSe6
Simulated XRD peak list, Cu Kα X-rays. Input: a structure optimized by DFT (PBE).
Neutral-atom scattering factors, no anomalous dispersion.

Largest 10 diffraction maxima, low angle first, 2θ = 15–90°:
- 15.77 deg, I = 12.3
- 20.06 deg, I = 11.7
- 28.25 deg, I = 49.8
- 28.77 deg, I = 100.0
- 35.30 deg, I = 12.9
- 37.60 deg, I = 28.5
- 37.93 deg, I = 15.7
- 43.73 deg, I = 33.0
- 44.15 deg, I = 15.9
- 53.25 deg, I = 19.8

Crystal structure
Unit cell a=7.129 b=7.129 c=8.911 alpha=98.28 beta=98.28 gamma=119.39
Sites, in units of the cell vectors:
Cs 0.173 0.827 0.000
Cs 0.827 0.173 0.000
Pm 0.333 0.667 0.500
Pm 0.667 0.333 0.500
Ti 0.000 0.000 0.500
Se 0.066 0.366 0.681
Se 0.235 0.235 0.322
Se 0.366 0.066 0.681
Se 0.634 0.934 0.319
Se 0.765 0.765 0.678
Se 0.934 0.634 0.319



No. 11
# Ni4GePt2
Simulated XRD peak list, Cu Kα X-rays. Input: a structure optimized by DFT (PBE).
Neutral-atom scattering factors, no anomalous dispersion.

Largest 10 diffraction maxima, low angle first, 2θ = 15–90°:
- 17.61 deg, I = 20.4
- 27.05 deg, I = 16.4
- 39.61 deg, I = 16.0
- 40.37 deg, I = 37.7
- 41.54 deg, I = 76.1
- 44.17 deg, I = 52.9
- 44.37 deg, I = 36.7
- 44.67 deg, I = 50.9
- 45.70 deg, I = 100.0
- 46.90 deg, I = 30.5

Crystal structure
Unit cell a=5.182 b=6.044 c=6.868 alpha=64.63 beta=68.72 gamma=74.60
Sites, in units of the cell vectors:
Ni 0.000 0.000 0.000
Ni 0.056 0.179 0.273
Ni 0.128 0.581 0.283
Ni 0.218 0.765 0.546
Ni 0.283 0.146 0.569
Ni 0.413 0.733 0.848
Ni 0.639 0.461 0.419
Ni 0.783 0.030 0.688
Ge 0.717 0.873 0.433
Ge 0.934 0.618 0.983
Pt 0.339 0.325 0.833
Pt 0.490 0.880 0.123
Pt 0.576 0.303 0.153
Pt 0.866 0.444 0.704



No. 12
# Hf2TiSe4
Simulated XRD peak list, Cu Kα X-rays. Input: a structure optimized by DFT (PBE).
Neutral-atom scattering factors, no anomalous dispersion.

Largest 10 diffraction maxima, low angle first, 2θ = 15–90°:
- 28.26 deg, I = 21.9
- 30.97 deg, I = 49.9
- 31.57 deg, I = 100.0
- 39.46 deg, I = 26.6
- 39.69 deg, I = 20.1
- 40.09 deg, I = 37.7
- 40.21 deg, I = 52.3
- 49.06 deg, I = 38.7
- 50.50 deg, I = 19.8
- 51.84 deg, I = 20.4

Crystal structure
Unit cell a=7.376 b=7.376 c=6.492 alpha=115.81 beta=115.81 gamma=28.36
Sites, in units of the cell vectors:
Hf 0.248 0.248 0.223
Hf 0.752 0.752 0.777
Ti 0.500 0.500 0.500
Se 0.125 0.125 0.455
Se 0.387 0.387 0.055
Se 0.613 0.613 0.945
Se 0.875 0.875 0.545



No. 13
# Sm19Y6Ho4
Simulated XRD peak list, Cu Kα X-rays. Input: a structure optimized by DFT (PBE).
Neutral-atom scattering factors, no anomalous dispersion.

Largest 10 diffraction maxima, low angle first, 2θ = 15–90°:
- 26.49 deg, I = 32.5
- 28.35 deg, I = 50.1
- 30.11 deg, I = 100.0
- 33.38 deg, I = 19.0
- 34.91 deg, I = 32.6
- 36.39 deg, I = 53.4
- 51.31 deg, I = 17.2
- 53.48 deg, I = 24.3
- 59.66 deg, I = 22.0
- 60.65 deg, I = 17.2

Crystal structure
Unit cell a=10.904 b=10.904 c=10.904 alpha=109.47 beta=109.47 gamma=109.47
Sites, in units of the cell vectors:
Sm 0.000 0.000 0.000
Sm 0.000 0.257 0.257
Sm 0.000 0.743 0.743
Sm 0.023 0.218 0.679
Sm 0.196 0.977 0.656
Sm 0.218 0.679 0.023
Sm 0.257 0.000 0.257
Sm 0.257 0.257 0.000
Sm 0.321 0.539 0.344
Sm 0.344 0.321 0.539
Sm 0.461 0.782 0.804
Sm 0.539 0.344 0.321
Sm 0.656 0.196 0.977
Sm 0.679 0.023 0.218
Sm 0.743 0.000 0.743
Sm 0.743 0.743 0.000
Sm 0.782 0.804 0.461
Sm 0.804 0.461 0.782
Sm 0.977 0.656 0.196
Y 0.127 0.500 0.627
Y 0.373 0.873 0.500
Y 0.500 0.373 0.873
Y 0.500 0.627 0.127
Y 0.627 0.127 0.500
Y 0.873 0.500 0.373
Ho 0.000 0.000 0.361
Ho 0.000 0.361 0.000
Ho 0.361 0.000 0.000
Ho 0.639 0.639 0.639